This entry pairs a crystal structure of Li7Ti16O32 with its simulated X-ray diffraction stick pattern. Radiation: Cu Kα, 1.54184 Å. Structure: a DFT-relaxed cell (PBE, Alexandria).
Intensities are scaled so that the largest is 100.

Atomic structure:
abc: 11.402 11.402 5.091
angles: 90.11 90.11 62.54
Sites, in units of the cell vectors:
Li (0.000, 0.000, 0.000)
Li (0.090, 0.338, 0.509)
Li (0.333, 0.595, 0.138)
Li (0.338, 0.090, 0.509)
Li (0.591, 0.845, 0.510)
Li (0.595, 0.333, 0.138)
Li (0.845, 0.591, 0.510)
Ti (0.157, 0.669, 0.602)
Ti (0.161, 0.161, 0.041)
Ti (0.177, 0.429, 0.096)
Ti (0.181, 0.920, 0.540)
Ti (0.411, 0.411, 0.600)
Ti (0.413, 0.910, 0.049)
Ti (0.429, 0.177, 0.096)
Ti (0.433, 0.674, 0.562)
Ti (0.664, 0.664, 0.059)
Ti (0.669, 0.157, 0.602)
Ti (0.674, 0.433, 0.562)
Ti (0.681, 0.929, 0.083)
Ti (0.910, 0.413, 0.049)
Ti (0.911, 0.911, 0.575)
Ti (0.920, 0.181, 0.540)
Ti (0.929, 0.681, 0.083)
O (0.000, 0.742, 0.375)
O (0.002, 0.499, 0.282)
O (0.003, 0.003, 0.369)
O (0.003, 0.249, 0.281)
O (0.088, 0.843, 0.768)
O (0.090, 0.090, 0.779)
O (0.091, 0.339, 0.878)
O (0.099, 0.591, 0.878)
O (0.249, 0.003, 0.281)
O (0.251, 0.251, 0.285)
O (0.252, 0.501, 0.367)
O (0.254, 0.749, 0.372)
O (0.339, 0.091, 0.878)
O (0.342, 0.588, 0.769)
O (0.342, 0.847, 0.766)
O (0.344, 0.344, 0.878)
O (0.499, 0.002, 0.282)
O (0.501, 0.252, 0.367)
O (0.501, 0.501, 0.361)
O (0.501, 0.753, 0.290)
O (0.588, 0.342, 0.769)
O (0.590, 0.843, 0.878)
O (0.591, 0.099, 0.878)
O (0.595, 0.595, 0.780)
O (0.742, 0.000, 0.375)
O (0.749, 0.254, 0.372)
O (0.751, 0.751, 0.282)
O (0.753, 0.501, 0.290)
O (0.843, 0.088, 0.768)
O (0.843, 0.590, 0.878)
O (0.845, 0.845, 0.871)
O (0.847, 0.342, 0.766)

Peak list (10 most intense, 2θ = 10–80°, low angle first)
2θ 19.67, rel. 100
2θ 32.70, rel. 40
2θ 35.49, rel. 18
2θ 36.30, rel. 32
2θ 39.79, rel. 21
2θ 45.11, rel. 10
2θ 50.89, rel. 34
2θ 59.63, rel. 17
2θ 63.96, rel. 12
2θ 65.56, rel. 11